Diffraction record for LaWN3. The PXRD pattern is computed, not measured: it uses a DFT-relaxed cell (PBE, Alexandria) and Cu Ka.

Largest 6 diffraction maxima, in order of rising 2θ, 10 to 90 degrees two-theta:
(2 2 -1), 2θ = 25.56°, 3.485 Å, I 100
(3 1 0), 2θ = 27.26°, 3.272 Å, I 29
(0 0 2), 2θ = 29.46°, 3.032 Å, I 53
(1 3 -1), 2θ = 30.04°, 2.975 Å, I 21
(2 2 1), 2θ = 31.47°, 2.843 Å, I 52
(2 2 -3), 2θ = 46.15°, 1.967 Å, I 24

Crystal structure
a = 10.9620 Å, b = 10.1785 Å, c = 6.4133 Å
α = 90.00°, β = 109.00°, γ = 90.00°
Space group C2/c (No. 15)
Unique sites:
La 0.0000 0.0938 0.2500 x4
La 0.0000 0.3066 0.7500 x4
W 0.2087 0.4120 0.2477 x8
N 0.1138 0.1109 0.6545 x8
N 0.1310 0.2573 0.1458 x8
N 0.1518 0.4838 0.4848 x8